Entry 1:
Computed powder diffraction line list
Compound: Tb3Y4Th5
Radiation: Cu Kα (λ = 1.5418 Å)
Structure: a structure optimized by DFT (PBE)

Structure:
```
data_Tb3Y4Th5
_space_group_name_H-M_alt 'P -1'
_space_group_IT_number 2
_cell_length_a 6.2116
_cell_length_b 7.1279
_cell_length_c 8.7443
_cell_angle_alpha 90.43
_cell_angle_beta 90.09
_cell_angle_gamma 90.06
loop_
_space_group_symop_operation_xyz
'x,y,z'
'-x,-y,-z'
loop_
_atom_site_label
_atom_site_type_symbol
_atom_site_fract_x
_atom_site_fract_y
_atom_site_fract_z
Tb1 Tb 0.0000 0.0000 0.0000
Tb2 Tb 0.1662 0.2515 0.6670
Y1 Y 0.3313 0.4993 0.3339
Y2 Y 0.4989 0.7483 0.9969
Th1 Th 0.0000 0.5000 0.0000
Th2 Th 0.1649 0.7579 0.6664
Th3 Th 0.3304 0.0056 0.3390
```

Top 10 peaks for 2θ = 10–90°, low angle first:
30.6 deg, rel. 100, (2 0 1)
30.7 deg, rel. 99, (0 0 3)
35.4 deg, rel. 68, (2 0 -2)
35.7 deg, rel. 33, (1 2 2)
51.0 deg, rel. 36, (3 2 0)
51.3 deg, rel. 24, (0 4 0)
60.6 deg, rel. 22, (4 0 -1)
60.7 deg, rel. 22, (1 -2 5)
60.8 deg, rel. 14, (2 -4 1)
60.9 deg, rel. 14, (3 2 3)



Entry 2:
Computed powder diffraction line list
Compound: Tb3Y7Th
Radiation: Cu Kα (λ = 1.5418 Å)
Structure: a structure optimized by DFT (PBE)

Structure:
```
data_Tb3Y7Th
_space_group_name_H-M_alt 'P 3 m 1'
_space_group_IT_number 156
_cell_length_a 7.0844
_cell_length_b 7.0844
_cell_length_c 8.6714
_cell_angle_alpha 90.00
_cell_angle_beta 90.00
_cell_angle_gamma 120.00
loop_
_space_group_symop_operation_xyz
'x,y,z'
'-y,x-y,z'
'-x+y,-x,z'
'-y,-x,z'
'-x+y,y,z'
'x,x-y,z'
loop_
_atom_site_label
_atom_site_type_symbol
_atom_site_fract_x
_atom_site_fract_y
_atom_site_fract_z
Tb1 Tb 0.0039 0.5020 0.0000
Y1 Y 0.1693 0.3385 0.3388
Y2 Y 0.3347 0.1673 0.6687
Y3 Y 0.6667 0.3333 0.3333
Th1 Th 0.3333 0.6667 0.6689
```

Top 10 peaks for 2θ = 10–90°, low angle first:
14.4 deg, rel. 17, (1 0 0)
17.7 deg, rel. 10, (0 1 1)
27.2 deg, rel. 7, (1 1 1)
30.9 deg, rel. 100, (0 2 1)
35.9 deg, rel. 51, (2 0 2)
51.6 deg, rel. 35, (2 2 0)
61.4 deg, rel. 42, (4 0 1)
64.4 deg, rel. 12, (0 4 2)
84.3 deg, rel. 17, (2 4 1)
87.0 deg, rel. 16, (4 2 2)



Entry 3:
Computed powder diffraction line list
Compound: Tb3YTh2
Radiation: Cu Kα (λ = 1.5418 Å)
Structure: a structure optimized by DFT (PBE)

Structure:
```
data_Tb3YTh2
_space_group_name_H-M_alt 'C 1 2/m 1'
_space_group_IT_number 12
_cell_length_a 18.1878
_cell_length_b 5.0568
_cell_length_c 10.1188
_cell_angle_alpha 90.00
_cell_angle_beta 123.67
_cell_angle_gamma 90.00
loop_
_space_group_symop_operation_xyz
'x,y,z'
'-x,-y,-z'
'-x,y,-z'
'x,-y,z'
'x+1/2,y+1/2,z'
'-x+1/2,-y+1/2,-z'
'-x+1/2,y+1/2,-z'
'x+1/2,-y+1/2,z'
loop_
_atom_site_label
_atom_site_type_symbol
_atom_site_fract_x
_atom_site_fract_y
_atom_site_fract_z
Tb1 Tb 0.0837 0.0000 0.2073
Tb2 Tb 0.0859 0.5000 0.9585
Tb3 Tb 0.2486 0.0000 0.6285
Y1 Y 0.0825 0.5000 0.4605
Th1 Th 0.0852 0.0000 0.7099
Th2 Th 0.2492 0.5000 0.8776
```

Top 10 peaks for 2θ = 10–90°, low angle first:
30.6 deg, rel. 100, (1 1 2)
35.5 deg, rel. 51, (0 2 0)
51.1 deg, rel. 30, (6 2 0)
60.7 deg, rel. 29, (1 3 2)
60.9 deg, rel. 14, (7 1 2)
63.7 deg, rel. 6, (2 2 4)
63.9 deg, rel. 6, (10 2 -4)
83.3 deg, rel. 9, (3 1 6)
83.4 deg, rel. 6, (7 3 2)
85.9 deg, rel. 7, (4 4 -4)



Entry 4:
Computed powder diffraction line list
Compound: Tb4Y2Th
Radiation: Cu Kα (λ = 1.5418 Å)
Structure: a structure optimized by DFT (PBE)

Structure:
```
data_Tb4Y2Th
_space_group_name_H-M_alt 'C 1 m 1'
_space_group_IT_number 8
_cell_length_a 6.2403
_cell_length_b 3.6047
_cell_length_c 20.2400
_cell_angle_alpha 90.00
_cell_angle_beta 95.95
_cell_angle_gamma 90.00
loop_
_space_group_symop_operation_xyz
'x,y,z'
'x,-y,z'
'x+1/2,y+1/2,z'
'x+1/2,-y+1/2,z'
loop_
_atom_site_label
_atom_site_type_symbol
_atom_site_fract_x
_atom_site_fract_y
_atom_site_fract_z
Tb1 Tb 0.0000 0.0000 0.0000
Tb2 Tb 0.0212 0.5000 0.5698
Tb3 Tb 0.0950 0.0000 0.2838
Tb4 Tb 0.1171 0.5000 0.8572
Y1 Y 0.2143 0.5000 0.1421
Y2 Y 0.3078 0.5000 0.4267
Th1 Th 0.4022 0.5000 0.7137
```

Top 10 peaks for 2θ = 10–90°, low angle first:
28.6 deg, rel. 31, (2 0 -1)
28.8 deg, rel. 21, (1 1 -1)
31.1 deg, rel. 55, (0 0 7)
32.3 deg, rel. 100, (1 1 3)
33.0 deg, rel. 94, (1 1 -4)
50.7 deg, rel. 42, (0 2 0)
55.6 deg, rel. 21, (1 1 10)
57.0 deg, rel. 20, (1 1 -11)
60.6 deg, rel. 51, (3 1 6)
86.6 deg, rel. 19, (3 1 13)



Entry 5:
Computed powder diffraction line list
Compound: Tb8Y4Th3
Radiation: Cu Kα (λ = 1.5418 Å)
Structure: a structure optimized by DFT (PBE)

Structure:
```
data_Tb8Y4Th3
_space_group_name_H-M_alt 'C 1 2/m 1'
_space_group_IT_number 12
_cell_length_a 13.8774
_cell_length_b 12.1351
_cell_length_c 6.7923
_cell_angle_alpha 90.00
_cell_angle_beta 119.16
_cell_angle_gamma 90.00
loop_
_space_group_symop_operation_xyz
'x,y,z'
'-x,-y,-z'
'-x,y,-z'
'x,-y,z'
'x+1/2,y+1/2,z'
'-x+1/2,-y+1/2,-z'
'-x+1/2,y+1/2,-z'
'x+1/2,-y+1/2,z'
loop_
_atom_site_label
_atom_site_type_symbol
_atom_site_fract_x
_atom_site_fract_y
_atom_site_fract_z
Tb1 Tb 0.0000 0.2034 0.0000
Tb2 Tb 0.0000 0.2521 0.5000
Tb3 Tb 0.2010 0.0000 0.2084
Tb4 Tb 0.2471 0.5000 0.2489
Y1 Y 0.0000 0.5000 0.0000
Y2 Y 0.0000 0.5000 0.5000
Y3 Y 0.2500 0.2500 0.0000
Th1 Th 0.0000 0.0000 0.5000
Th2 Th 0.2500 0.2500 0.5000
```

Top 10 peaks for 2θ = 10–90°, low angle first:
25.7 deg, rel. 18, (4 0 -1)
26.2 deg, rel. 17, (2 0 -2)
29.5 deg, rel. 100, (0 4 0)
29.6 deg, rel. 19, (2 2 1)
30.2 deg, rel. 51, (4 0 -2)
33.7 deg, rel. 61, (0 2 2)
39.5 deg, rel. 22, (4 4 -1)
42.2 deg, rel. 31, (4 4 0)
42.6 deg, rel. 20, (4 4 -2)
62.7 deg, rel. 18, (0 0 4)



Entry 6:
Computed powder diffraction line list
Compound: Tb2Y3Th
Radiation: Cu Kα (λ = 1.5418 Å)
Structure: a structure optimized by DFT (PBE)

Structure:
```
data_Tb2Y3Th
_space_group_name_H-M_alt 'I m m a'
_space_group_IT_number 74
_space_group_name_Hall '-I 2b 2'
_cell_length_a 5.0674
_cell_length_b 10.0729
_cell_length_c 15.1712
_cell_angle_alpha 90.00
_cell_angle_beta 90.00
_cell_angle_gamma 90.00
loop_
_atom_site_label
_atom_site_type_symbol
_atom_site_fract_x
_atom_site_fract_y
_atom_site_fract_z
Tb1 Tb 0.0000 0.2500 0.0009
Tb2 Tb 0.0000 0.2500 0.6670
Y1 Y 0.0000 0.0000 0.5000
Y2 Y 0.0000 0.0050 0.1676
Th1 Th 0.0000 0.2500 0.3331
```

Top 10 peaks for 2θ = 10–90°, low angle first:
17.6 deg, rel. 10, (0 2 0)
24.9 deg, rel. 9, (1 0 3)
30.6 deg, rel. 100, (1 2 3)
35.5 deg, rel. 34, (2 0 0)
35.7 deg, rel. 17, (0 4 0)
51.0 deg, rel. 12, (2 0 6)
51.2 deg, rel. 24, (2 4 0)
60.7 deg, rel. 28, (3 2 3)
61.0 deg, rel. 14, (1 6 3)
63.8 deg, rel. 12, (2 4 6)



Entry 7:
Computed powder diffraction line list
Compound: TbY6Th4
Radiation: Cu Kα (λ = 1.5418 Å)
Structure: a structure optimized by DFT (PBE)

Structure:
```
data_TbY6Th4
_space_group_name_H-M_alt 'C m c m'
_space_group_IT_number 63
_space_group_name_Hall '-C 2c 2'
_cell_length_a 5.7331
_cell_length_b 9.6658
_cell_length_c 26.0210
_cell_angle_alpha 90.00
_cell_angle_beta 90.00
_cell_angle_gamma 90.00
loop_
_atom_site_label
_atom_site_type_symbol
_atom_site_fract_x
_atom_site_fract_y
_atom_site_fract_z
Tb1 Tb 0.0000 0.1896 0.2500
Y1 Y 0.0000 0.1442 0.6807
Y2 Y 0.0000 0.1842 0.1039
Y3 Y 0.0000 0.4742 0.7500
Y4 Y 0.0000 0.5000 0.0000
Th1 Th 0.0000 0.1577 0.5465
Th2 Th 0.0000 0.4758 0.6226
```

Top 10 peaks for 2θ = 10–90°, low angle first:
20.7 deg, rel. 19, (1 1 3)
22.6 deg, rel. 22, (1 1 4)
30.1 deg, rel. 54, (1 1 7)
30.3 deg, rel. 43, (0 2 7)
31.2 deg, rel. 60, (2 0 0)
31.9 deg, rel. 100, (1 3 0)
33.0 deg, rel. 52, (1 1 8)
44.1 deg, rel. 31, (2 2 7)
56.0 deg, rel. 39, (3 3 0)
57.3 deg, rel. 17, (2 4 8)



Entry 8:
Computed powder diffraction line list
Compound: Tb6Y2Th
Radiation: Cu Kα (λ = 1.5418 Å)
Structure: a structure optimized by DFT (PBE)

Structure:
```
data_Tb6Y2Th
_space_group_name_H-M_alt 'P -6 m 2'
_space_group_IT_number 187
_space_group_name_Hall 'P -6 2'
_cell_length_a 3.5823
_cell_length_b 3.5823
_cell_length_c 26.3962
_cell_angle_alpha 90.00
_cell_angle_beta 90.00
_cell_angle_gamma 120.00
loop_
_atom_site_label
_atom_site_type_symbol
_atom_site_fract_x
_atom_site_fract_y
_atom_site_fract_z
Tb1 Tb 0.0000 0.0000 0.0654
Tb2 Tb 0.0000 0.0000 0.2813
Tb3 Tb 0.3333 0.6667 0.3901
Y1 Y 0.3333 0.6667 0.1717
Th1 Th 0.0000 0.0000 0.5000
```

Top 10 peaks for 2θ = 10–90°, low angle first:
28.8 deg, rel. 49, (1 0 0)
30.5 deg, rel. 44, (0 0 9)
31.9 deg, rel. 64, (1 0 4)
33.5 deg, rel. 100, (1 0 5)
42.4 deg, rel. 31, (1 0 9)
51.0 deg, rel. 34, (1 1 0)
57.2 deg, rel. 31, (1 0 14)
60.6 deg, rel. 37, (1 1 9)
62.4 deg, rel. 17, (2 0 5)
84.7 deg, rel. 15, (2 1 5)



Entry 9:
Computed powder diffraction line list
Compound: Tb4Y4Th3
Radiation: Cu Kα (λ = 1.5418 Å)
Structure: a structure optimized by DFT (PBE)

Structure:
```
data_Tb4Y4Th3
_space_group_name_H-M_alt 'P -1'
_space_group_IT_number 2
_cell_length_a 3.5679
_cell_length_b 5.7292
_cell_length_c 17.7352
_cell_angle_alpha 99.29
_cell_angle_beta 90.02
_cell_angle_gamma 90.01
loop_
_space_group_symop_operation_xyz
'x,y,z'
'-x,-y,-z'
loop_
_atom_site_label
_atom_site_type_symbol
_atom_site_fract_x
_atom_site_fract_y
_atom_site_fract_z
Tb1 Tb 0.0014 0.0982 0.1962
Tb2 Tb 0.0006 0.7201 0.4399
Y1 Y 0.0006 0.5462 0.0920
Y2 Y 0.5003 0.1898 0.3792
Th1 Th 0.4986 0.3683 0.7370
Th2 Th 0.5000 0.0000 0.0000
```

Top 10 peaks for 2θ = 10–90°, low angle first:
17.2 deg, rel. 11, (0 1 1)
29.3 deg, rel. 18, (1 0 3)
30.5 deg, rel. 8, (1 1 1)
31.2 deg, rel. 28, (0 2 -1)
32.2 deg, rel. 100, (0 1 5)
43.4 deg, rel. 13, (1 2 2)
48.8 deg, rel. 11, (1 0 -8)
56.2 deg, rel. 21, (0 3 4)
59.1 deg, rel. 12, (1 2 -9)
61.8 deg, rel. 14, (2 1 5)



Entry 10:
Computed powder diffraction line list
Compound: Tb3Y2Th3
Radiation: Cu Kα (λ = 1.5418 Å)
Structure: a structure optimized by DFT (PBE)

Structure:
```
data_Tb3Y2Th3
_space_group_name_H-M_alt 'P -6 2 m'
_space_group_IT_number 189
_space_group_name_Hall 'P -6 -2'
_cell_length_a 9.1281
_cell_length_b 9.1281
_cell_length_c 3.6019
_cell_angle_alpha 90.00
_cell_angle_beta 90.00
_cell_angle_gamma 120.00
loop_
_atom_site_label
_atom_site_type_symbol
_atom_site_fract_x
_atom_site_fract_y
_atom_site_fract_z
Tb1 Tb 0.0000 0.3937 0.0000
Y1 Y 0.3333 0.6667 0.5000
Th1 Th 0.0000 0.7733 0.5000
```

Top 10 peaks for 2θ = 10–90°, low angle first:
27.2 deg, rel. 17, (1 0 1)
29.9 deg, rel. 100, (2 1 0)
31.6 deg, rel. 82, (1 1 1)
33.7 deg, rel. 33, (2 0 1)
34.0 deg, rel. 15, (3 0 0)
39.2 deg, rel. 32, (2 1 1)
48.6 deg, rel. 22, (3 1 1)
56.8 deg, rel. 18, (3 2 1)
59.4 deg, rel. 20, (4 1 1)
60.0 deg, rel. 29, (2 1 2)



Entry 11:
Computed powder diffraction line list
Compound: Tb3Y3Th4
Radiation: Cu Kα (λ = 1.5418 Å)
Structure: a structure optimized by DFT (PBE)

Structure:
```
data_Tb3Y3Th4
_space_group_name_H-M_alt 'A m m 2'
_space_group_IT_number 38
_cell_length_a 3.9396
_cell_length_b 13.0398
_cell_length_c 12.9978
_cell_angle_alpha 90.00
_cell_angle_beta 90.00
_cell_angle_gamma 90.00
loop_
_space_group_symop_operation_xyz
'x,y,z'
'-x,-y,z'
'-x,y,z'
'x,-y,z'
'x,y+1/2,z+1/2'
'-x,-y+1/2,z+1/2'
'-x,y+1/2,z+1/2'
'x,-y+1/2,z+1/2'
loop_
_atom_site_label
_atom_site_type_symbol
_atom_site_fract_x
_atom_site_fract_y
_atom_site_fract_z
Tb1 Tb 0.0000 0.0000 0.0000
Tb2 Tb 0.5000 0.2491 0.4130
Y1 Y 0.0000 0.0000 0.3267
Y2 Y 0.0000 0.1640 0.6643
Th1 Th 0.5000 0.0000 0.5318
Th2 Th 0.5000 0.0000 0.7980
Th3 Th 0.5000 0.1320 0.1613
```

Top 10 peaks for 2θ = 10–90°, low angle first:
21.6 deg, rel. 14, (0 3 1)
22.6 deg, rel. 17, (1 0 0)
29.9 deg, rel. 11, (1 2 2)
30.7 deg, rel. 57, (0 2 4)
31.4 deg, rel. 100, (1 1 3)
38.4 deg, rel. 20, (1 4 2)
42.2 deg, rel. 15, (1 5 1)
46.1 deg, rel. 12, (2 0 0)
56.4 deg, rel. 25, (0 8 0)
58.8 deg, rel. 11, (1 7 3)



Entry 12:
Computed powder diffraction line list
Compound: Tb3Y12Th
Radiation: Cu Kα (λ = 1.5418 Å)
Structure: a structure optimized by DFT (PBE)

Structure:
```
data_Tb3Y12Th
_space_group_name_H-M_alt 'P 4/m m m'
_space_group_IT_number 123
_space_group_name_Hall '-P 4 2'
_cell_length_a 5.0558
_cell_length_b 5.0558
_cell_length_c 20.1994
_cell_angle_alpha 90.00
_cell_angle_beta 90.00
_cell_angle_gamma 90.00
loop_
_atom_site_label
_atom_site_type_symbol
_atom_site_fract_x
_atom_site_fract_y
_atom_site_fract_z
Tb1 Tb 0.0000 0.0000 0.0000
Tb2 Tb 0.0000 0.0000 0.2504
Y1 Y 0.0000 0.5000 0.1253
Y2 Y 0.0000 0.5000 0.3764
Y3 Y 0.5000 0.5000 0.0000
Y4 Y 0.5000 0.5000 0.2491
Y5 Y 0.5000 0.5000 0.5000
Th1 Th 0.0000 0.0000 0.5000
```

Top 10 peaks for 2θ = 10–90°, low angle first:
17.5 deg, rel. 9, (1 0 0)
24.9 deg, rel. 8, (1 1 0)
30.6 deg, rel. 100, (1 1 4)
35.5 deg, rel. 50, (2 0 0)
51.1 deg, rel. 35, (2 2 0)
60.8 deg, rel. 41, (3 1 4)
63.8 deg, rel. 12, (2 2 8)
83.4 deg, rel. 17, (3 3 4)
86.0 deg, rel. 10, (4 2 0)
86.1 deg, rel. 5, (2 0 16)



Entry 13:
Computed powder diffraction line list
Compound: Tb5Y2Th5
Radiation: Cu Kα (λ = 1.5418 Å)
Structure: a structure optimized by DFT (PBE)

Structure:
```
data_Tb5Y2Th5
_space_group_name_H-M_alt 'C 1 2/m 1'
_space_group_IT_number 12
_cell_length_a 15.0938
_cell_length_b 5.0500
_cell_length_c 11.3229
_cell_angle_alpha 90.00
_cell_angle_beta 116.33
_cell_angle_gamma 90.00
loop_
_space_group_symop_operation_xyz
'x,y,z'
'-x,-y,-z'
'-x,y,-z'
'x,-y,z'
'x+1/2,y+1/2,z'
'-x+1/2,-y+1/2,-z'
'-x+1/2,y+1/2,-z'
'x+1/2,-y+1/2,z'
loop_
_atom_site_label
_atom_site_type_symbol
_atom_site_fract_x
_atom_site_fract_y
_atom_site_fract_z
Tb1 Tb 0.0000 0.0000 0.0000
Tb2 Tb 0.0849 0.0000 0.7480
Tb3 Tb 0.1679 0.0000 0.5048
Y1 Y 0.0832 0.5000 0.2499
Th1 Th 0.0000 0.5000 0.5000
Th2 Th 0.1696 0.5000 0.0032
Th3 Th 0.2489 0.5000 0.7538
```

Top 10 peaks for 2θ = 10–90°, low angle first:
30.7 deg, rel. 100, (3 1 1)
35.4 deg, rel. 17, (0 0 4)
35.6 deg, rel. 17, (0 2 0)
35.7 deg, rel. 17, (6 0 -2)
51.1 deg, rel. 18, (6 0 2)
51.3 deg, rel. 12, (6 2 -2)
60.6 deg, rel. 15, (3 1 5)
60.8 deg, rel. 15, (3 3 1)
61.0 deg, rel. 14, (9 1 -1)
63.8 deg, rel. 12, (6 2 2)